(1)
Theoretical powder X-ray diffraction pattern
Compound: Li2PdAu
Radiation: Cu Kα, 1.54184 Å
Structure: DFT lattice parameters and positions (PBE)

Cell and atoms:
```
Li2PdAu
1.0
0.000 3.050 3.050
3.050 0.000 3.050
3.050 3.050 0.000
Li Pd Au
2 1 1
direct
0.250 0.250 0.250 Li
0.750 0.750 0.750 Li
0.000 0.000 0.000 Pd
0.500 0.500 0.500 Au
```

Most intense lines, 15° ≤ 2θ ≤ 90°, by angle:
two_theta  Rel. int.
25.3  167
29.3  1000
41.9  875
49.6  91
51.9  273
60.7  146
66.8  39
68.8  353
76.5  300
82.1  32


(2)
Theoretical powder X-ray diffraction pattern
Compound: PtF5
Radiation: Cu Kα, 1.54184 Å
Structure: DFT lattice parameters and positions (PBE)

Cell and atoms:
```
PtF5
1.0
5.691 0.000 0.000
0.000 10.135 0.000
-2.499 0.000 12.526
Pt F
8 40
direct
0.001 0.249 0.498 Pt
0.001 0.251 0.998 Pt
0.299 0.002 0.698 Pt
0.299 0.498 0.198 Pt
0.701 0.502 0.802 Pt
0.701 0.998 0.302 Pt
0.999 0.749 0.002 Pt
0.999 0.751 0.502 Pt
0.024 0.572 0.240 F
0.024 0.928 0.740 F
0.092 0.671 0.638 F
0.092 0.829 0.138 F
0.097 0.166 0.646 F
0.097 0.334 0.146 F
0.189 0.103 0.049 F
0.189 0.397 0.549 F
0.200 0.585 0.051 F
0.200 0.915 0.551 F
0.268 0.166 0.456 F
0.268 0.334 0.956 F
0.271 0.678 0.457 F
0.271 0.822 0.957 F
0.392 0.087 0.831 F
0.392 0.413 0.331 F
0.436 0.578 0.851 F
0.436 0.922 0.351 F
0.484 0.648 0.249 F
0.484 0.852 0.749 F
0.516 0.148 0.251 F
0.516 0.352 0.751 F
0.564 0.078 0.649 F
0.564 0.422 0.149 F
0.608 0.587 0.669 F
0.608 0.913 0.169 F
0.729 0.178 0.043 F
0.729 0.322 0.543 F
0.732 0.666 0.044 F
0.732 0.834 0.544 F
0.800 0.085 0.449 F
0.800 0.415 0.949 F
0.811 0.603 0.451 F
0.811 0.897 0.951 F
0.903 0.666 0.854 F
0.903 0.834 0.354 F
0.908 0.171 0.862 F
0.908 0.329 0.362 F
0.976 0.072 0.260 F
0.976 0.428 0.760 F
```

Most intense lines, 15° ≤ 2θ ≤ 90°, by angle:
two_theta  Rel. int.
18.3  325
19.1  772
20.6  390
22.6  1000
23.7  455
29.3  268
34.8  217
35.5  248
36.8  243
51.7  197


(3)
Theoretical powder X-ray diffraction pattern
Compound: Na2NbO4F5
Radiation: Cu Kα, 1.54184 Å
Structure: DFT lattice parameters and positions (PBE)

Cell and atoms:
```
Na2NbO4F5
1.0
10.731 0.000 0.000
0.000 4.898 3.681
0.000 -4.898 3.681
Na Nb O F
4 2 8 10
direct
0.142 0.127 0.873 Na
0.358 0.627 0.373 Na
0.642 0.373 0.627 Na
0.858 0.873 0.127 Na
0.000 0.536 0.536 Nb
0.500 0.036 0.036 Nb
0.065 0.270 0.271 O
0.244 0.988 0.514 O
0.256 0.488 0.014 O
0.435 0.770 0.771 O
0.565 0.771 0.770 O
0.744 0.014 0.488 O
0.756 0.514 0.988 O
0.935 0.271 0.270 O
0.000 0.809 0.809 F
0.002 0.334 0.730 F
0.182 0.590 0.575 F
0.318 0.090 0.075 F
0.498 0.834 0.230 F
0.500 0.309 0.309 F
0.502 0.230 0.834 F
0.682 0.075 0.090 F
0.818 0.575 0.590 F
0.998 0.730 0.334 F
```

Most intense lines, 15° ≤ 2θ ≤ 90°, by angle:
two_theta  Rel. int.
16.5  338
17.2  1000
18.1  352
24.2  190
24.6  293
29.2  264
31.1  212
38.8  196
45.0  187
45.8  180


(4)
Theoretical powder X-ray diffraction pattern
Compound: Bi2O5
Radiation: Cu Kα, 1.54184 Å
Structure: DFT lattice parameters and positions (PBE)

Cell and atoms:
```
Bi2O5
1.0
5.536 0.000 0.000
0.000 10.504 0.000
-4.439 0.000 7.943
Bi O
8 20
direct
0.002 0.110 0.127 Bi
0.002 0.390 0.627 Bi
0.214 0.597 0.967 Bi
0.214 0.903 0.467 Bi
0.786 0.097 0.533 Bi
0.786 0.403 0.033 Bi
0.998 0.610 0.373 Bi
0.998 0.890 0.873 Bi
0.065 0.565 0.146 O
0.065 0.935 0.646 O
0.133 0.078 0.940 O
0.133 0.422 0.440 O
0.165 0.206 0.679 O
0.165 0.294 0.179 O
0.379 0.719 0.496 O
0.379 0.781 0.996 O
0.390 0.014 0.332 O
0.390 0.486 0.832 O
0.610 0.514 0.168 O
0.610 0.986 0.668 O
0.621 0.219 0.004 O
0.621 0.281 0.504 O
0.835 0.706 0.821 O
0.835 0.794 0.321 O
0.867 0.578 0.560 O
0.867 0.922 0.060 O
0.935 0.065 0.354 O
0.935 0.435 0.854 O
```

Most intense lines, 15° ≤ 2θ ≤ 90°, by angle:
two_theta  Rel. int.
18.2  288
18.4  817
20.2  416
22.4  269
22.6  1000
24.0  410
31.0  712
33.2  607
34.2  834
42.6  296


(5)
Theoretical powder X-ray diffraction pattern
Compound: CeSe2
Radiation: Cu Kα, 1.54184 Å
Structure: DFT lattice parameters and positions (PBE)

Cell and atoms:
```
CeSe2
1.0
0.000 14.882 15.197
11.334 0.000 15.197
11.334 14.882 0.000
Ce Se
18 36
direct
0.074 0.297 0.926 Ce
0.074 0.548 0.677 Ce
0.216 0.606 0.784 Ce
0.250 0.250 0.250 Ce
0.297 0.074 0.703 Ce
0.299 0.323 0.452 Ce
0.323 0.299 0.926 Ce
0.394 0.784 0.606 Ce
0.452 0.926 0.299 Ce
0.548 0.074 0.701 Ce
0.606 0.216 0.394 Ce
0.677 0.701 0.074 Ce
0.701 0.677 0.548 Ce
0.703 0.926 0.297 Ce
0.750 0.750 0.750 Ce
0.784 0.394 0.216 Ce
0.926 0.452 0.323 Ce
0.926 0.703 0.074 Ce
0.035 0.437 0.816 Se
0.073 0.691 0.927 Se
0.077 0.314 0.320 Se
0.154 0.154 0.846 Se
0.169 0.475 0.525 Se
0.170 0.599 0.678 Se
0.184 0.288 0.965 Se
0.288 0.184 0.563 Se
0.289 0.320 0.314 Se
0.309 0.927 0.691 Se
0.311 0.689 0.689 Se
0.314 0.077 0.289 Se
0.320 0.289 0.077 Se
0.322 0.447 0.830 Se
0.401 0.830 0.447 Se
0.437 0.035 0.712 Se
0.447 0.322 0.401 Se
0.475 0.169 0.831 Se
0.525 0.831 0.169 Se
0.553 0.678 0.599 Se
0.563 0.965 0.288 Se
0.599 0.170 0.553 Se
0.678 0.553 0.170 Se
0.680 0.711 0.923 Se
0.686 0.923 0.711 Se
0.689 0.311 0.311 Se
0.691 0.073 0.309 Se
0.711 0.680 0.686 Se
0.712 0.816 0.437 Se
0.816 0.712 0.035 Se
0.830 0.401 0.322 Se
0.831 0.525 0.475 Se
0.846 0.846 0.154 Se
0.923 0.686 0.680 Se
0.927 0.309 0.073 Se
0.965 0.563 0.184 Se
```

Most intense lines, 15° ≤ 2θ ≤ 90°, by angle:
two_theta  Rel. int.
15.6  678
16.7  807
17.2  329
17.6  1000
17.7  887
33.8  487
37.4  432
41.2  320
43.9  527
46.9  405